# 1
Simulated X-ray powder pattern
Compound: Dy4Ho2Tm5
Radiation: Cu Kα (λ = 1.5418 Å)
Structure: a structure optimized by DFT (PBE)
Kinematic intensities with the Lorentz-polarization factor, no thermal factor.

Structure:
Lattice parameters (Å, degrees): 8.5506 8.5506 9.1779 122.38 122.38 38.03
Element x y z (fractional)
Dy1 0.1601 0.1601 0.0631
Dy2 0.2097 0.2097 0.7468
Dy3 0.7903 0.7903 0.2532
Dy4 0.8399 0.8399 0.9369
Ho1 0.0506 0.0506 0.2989
Ho2 0.9494 0.9494 0.7011
Tm1 0.3154 0.3154 0.5146
Tm2 0.4128 0.4128 0.2541
Tm3 0.5000 0.5000 0.0000
Tm4 0.5872 0.5872 0.7459
Tm5 0.6846 0.6846 0.4854

Most intense lines, 2θ = 15–90°, most intense first:
Position (°2θ), I/Imax
32.8, 100
32.3, 77
32.1, 57
33.4, 39
30.0, 33
44.5, 23
57.7, 21
59.0, 15
57.4, 15
63.4, 15



# 2
Simulated X-ray powder pattern
Compound: Dy2Ho9Tm3
Radiation: Cu Kα (λ = 1.5418 Å)
Structure: a structure optimized by DFT (PBE)
Kinematic intensities with the Lorentz-polarization factor, no thermal factor.

Structure:
Lattice parameters (Å, degrees): 4.9610 9.2859 10.5324 104.60 103.58 105.46
Element x y z (fractional)
Dy1 0.0000 0.0000 0.0000
Dy2 0.2858 0.2139 0.3575
Ho1 0.0001 0.5005 0.4999
Ho2 0.2861 0.7143 0.8579
Ho3 0.4285 0.0718 0.7853
Ho4 0.4288 0.5720 0.2856
Ho5 0.5718 0.4287 0.7148
Ho6 0.7145 0.2861 0.1428
Ho7 0.7143 0.7857 0.6429
Ho8 0.8570 0.1424 0.5716
Ho9 0.8576 0.6432 0.0720
Tm1 0.1432 0.3573 0.9289
Tm2 0.1429 0.8573 0.4283
Tm3 0.5715 0.9283 0.2147

Most intense lines, 2θ = 15–90°, most intense first:
Position (°2θ), I/Imax
31.2, 100
52.1, 36
62.0, 36
36.2, 34
36.2, 17
65.1, 12
87.9, 11
85.2, 10
85.3, 7
62.1, 7